Entry 1:
For La7Ir3, a GGA-PBE-relaxed structure gives the simulated powder X-ray diffraction pattern in this record (Cu Kα, 1.54184 Å).
Kinematic intensities with the Lorentz-polarization factor, no thermal factor.

Top 8 peaks for 10° ≤ 2θ ≤ 90°, by intensity:
29.9 deg, 2.987 Å, I = 100
33.2 deg, 2.699 Å, I = 88
34.2 deg, 2.620 Å, I = 77
34.9 deg, 2.571 Å, I = 73
29.3 deg, 3.045 Å, I = 46
16.9 deg, 5.240 Å, I = 39
52.4 deg, 1.747 Å, I = 34
38.6 deg, 2.334 Å, I = 32

Cell and atoms:
abc: 10.2837 10.2837 6.4799
angles: 90.00 90.00 120.00
Space group P6_3mc (No. 186)
Asymmetric unit:
1 La 0.0803 0.5401 0.0000
2 La 0.1255 0.2510 0.3099
3 La 0.3333 0.6667 0.5273
4 Ir 0.1889 0.3777 0.7479

***

Entry 2:
For KEuYSbO6, a GGA-PBE-relaxed structure gives the simulated powder X-ray diffraction pattern in this record (Cu Kα, 1.54184 Å).
Kinematic intensities with the Lorentz-polarization factor, no thermal factor.

Top 8 peaks for 10° ≤ 2θ ≤ 90°, by intensity:
30.0 deg, 2.978 Å, I = 100
53.3 deg, 1.719 Å, I = 39
42.9 deg, 2.106 Å, I = 33
18.2 deg, 4.863 Å, I = 21
86.5 deg, 1.126 Å, I = 21
62.4 deg, 1.489 Å, I = 20
70.7 deg, 1.332 Å, I = 17
35.3 deg, 2.540 Å, I = 13

Cell and atoms:
abc: 8.4234 8.4234 8.4234
angles: 90.00 90.00 90.00
Space group F-43m (No. 216)
Asymmetric unit:
1 K 0.0000 0.0000 0.0000
2 Eu 0.0000 0.0000 0.5000
3 Y 0.2500 0.2500 0.7500
4 Sb 0.2500 0.2500 0.2500
5 O 0.0133 0.2500 0.2500

***

Entry 3:
For Si2AgN3, a GGA-PBE-relaxed structure gives the simulated powder X-ray diffraction pattern in this record (Cu Kα, 1.54184 Å).
Kinematic intensities with the Lorentz-polarization factor, no thermal factor.

Top 8 peaks for 10° ≤ 2θ ≤ 90°, by intensity:
37.3 deg, 2.412 Å, I = 100
37.1 deg, 2.423 Å, I = 98
32.4 deg, 2.759 Å, I = 78
36.2 deg, 2.482 Å, I = 64
41.8 deg, 2.160 Å, I = 58
18.5 deg, 4.799 Å, I = 57
25.8 deg, 3.450 Å, I = 55
41.0 deg, 2.203 Å, I = 50

Cell and atoms:
abc: 9.5387 5.5535 4.9638
angles: 90.00 90.00 90.00
Space group Cmc2_1 (No. 36)
Asymmetric unit:
1 Si 0.1717 0.1505 0.0000
2 Ag 0.0000 0.3644 0.5024
3 N 0.0000 0.2176 0.9445
4 N 0.2161 0.1302 0.3476

***

Entry 4:
For Dy2MgIn, a GGA-PBE-relaxed structure gives the simulated powder X-ray diffraction pattern in this record (Cu Kα, 1.54184 Å).
Kinematic intensities with the Lorentz-polarization factor, no thermal factor.

Top 8 peaks for 10° ≤ 2θ ≤ 90°, by intensity:
33.7 deg, 2.657 Å, I = 100
60.3 deg, 1.534 Å, I = 37
48.4 deg, 1.879 Å, I = 18
23.7 deg, 3.758 Å, I = 18
80.9 deg, 1.188 Å, I = 16
70.9 deg, 1.329 Å, I = 11
20.5 deg, 4.339 Å, I = 9
54.6 deg, 1.681 Å, I = 8

Cell and atoms:
abc: 7.5154 7.5154 7.5154
angles: 90.00 90.00 90.00
Space group Fm-3m (No. 225)
Asymmetric unit:
1 Dy 0.2500 0.2500 0.2500
2 Mg 0.0000 0.0000 0.0000
3 In 0.0000 0.0000 0.5000

***

Entry 5:
For Na3H7Os, a GGA-PBE-relaxed structure gives the simulated powder X-ray diffraction pattern in this record (Cu Kα, 1.54184 Å).
Kinematic intensities with the Lorentz-polarization factor, no thermal factor.

Top 8 peaks for 10° ≤ 2θ ≤ 90°, by intensity:
21.2 deg, 4.185 Å, I = 100
18.5 deg, 4.799 Å, I = 70
32.7 deg, 2.741 Å, I = 58
34.0 deg, 2.636 Å, I = 47
38.7 deg, 2.326 Å, I = 41
20.7 deg, 4.293 Å, I = 40
33.7 deg, 2.659 Å, I = 37
37.8 deg, 2.380 Å, I = 28

Cell and atoms:
abc: 9.5985 9.5985 5.3150
angles: 90.00 90.00 90.00
Space group P4_2/mnm (No. 136)
Asymmetric unit:
1 Na 0.0333 0.2986 0.0000
2 Na 0.1154 0.8846 0.5000
3 H 0.0691 0.3246 0.5000
4 H 0.1042 0.1042 0.3026
5 H 0.1740 0.8260 0.0000
6 H 0.2441 0.2441 0.2051
7 Os 0.2024 0.2024 0.5000

***

Entry 6:
For Sc2RuRh, a GGA-PBE-relaxed structure gives the simulated powder X-ray diffraction pattern in this record (Cu Kα, 1.54184 Å).
Kinematic intensities with the Lorentz-polarization factor, no thermal factor.

Top 7 peaks for 10° ≤ 2θ ≤ 90°, by intensity:
39.5 deg, 2.280 Å, I = 100
71.7 deg, 1.316 Å, I = 32
27.7 deg, 3.224 Å, I = 21
57.1 deg, 1.612 Å, I = 16
85.1 deg, 1.140 Å, I = 10
64.6 deg, 1.442 Å, I = 8
48.9 deg, 1.861 Å, I = 6

Cell and atoms:
abc: 6.4478 6.4478 6.4478
angles: 90.00 90.00 90.00
Space group Fm-3m (No. 225)
Asymmetric unit:
1 Sc 0.2500 0.2500 0.2500
2 Ru 0.0000 0.0000 0.0000
3 Rh 0.0000 0.0000 0.5000

***

Entry 7:
For Na2MgPb, a GGA-PBE-relaxed structure gives the simulated powder X-ray diffraction pattern in this record (Cu Kα, 1.54184 Å).
Kinematic intensities with the Lorentz-polarization factor, no thermal factor.

Top 8 peaks for 10° ≤ 2θ ≤ 90°, by intensity:
21.7 deg, 4.087 Å, I = 100
33.1 deg, 2.704 Å, I = 71
34.8 deg, 2.575 Å, I = 50
17.4 deg, 5.100 Å, I = 48
39.2 deg, 2.299 Å, I = 39
19.9 deg, 4.461 Å, I = 26
61.4 deg, 1.510 Å, I = 24
48.8 deg, 1.865 Å, I = 24

Cell and atoms:
abc: 5.1506 5.1506 10.1999
angles: 90.00 90.00 120.00
Space group P6_3/mmc (No. 194)
Asymmetric unit:
1 Na 0.3333 0.6667 0.0803
2 Mg 0.0000 0.0000 0.2500
3 Pb 0.3333 0.6667 0.7500